Pm2Sm3Ho5: theoretical X-ray diffraction stick pattern (Cu Kα), based on a crystal structure in Alexandria, relaxed with GGA-PBE.
No peak broadening, texture or thermal motion is included.

The 10 most intense peaks (10° ≤ 2θ ≤ 80°), in order of rising 2θ:
hkl 2 4 0, d 2.964, 30.1°, rel. 100; hkl 2 2 -3, d 2.916, 30.7°, rel. 89; hkl 0 4 2, d 2.784, 32.1°, rel. 21; hkl 4 0 -2, d 2.669, 33.6°, rel. 43; hkl 2 0 2, d 2.319, 38.8°, rel. 16; hkl 0 6 3, d 1.856, 49.1°, rel. 19; hkl 6 4 -2, d 1.592, 57.9°, rel. 16; hkl 4 6 -5, d 1.524, 60.8°, rel. 20; hkl 2 10 -3, d 1.429, 65.3°, rel. 21; hkl 2 4 -6, d 1.392, 67.2°, rel. 21

Structure:
Unit cell a=10.6761 b=16.0686 c=9.3865 alpha=90.00 beta=124.61 gamma=90.00
Space group C2/c (No. 15)
One atom of each set of equivalent atoms:
Pm: 0.1427 0.1244 0.0477
Sm: 0.0000 0.2728 0.7500
Sm: 0.1555 0.3781 0.5477
Ho: 0.0000 0.0231 0.2500
Ho: 0.0000 0.2303 0.2500
Ho: 0.0000 0.4730 0.7500
Ho: 0.2367 0.3816 0.2263